Entry 1:
Simulated powder diffraction line list of Zn12Pt2Au5 for Cu Kα, 1.54184 Å, from the PBE geometry in Alexandria.

Structural model:
a b c (Å): 7.3758 7.3758 9.1711
angles (deg): 90.75 90.75 44.19
Fractional coordinates of all 19 atoms:
Zn 0.0136 0.0136 0.2475
Zn 0.0848 0.5691 0.6056
Zn 0.0895 0.6061 0.0922
Zn 0.3939 0.9105 0.9078
Zn 0.4309 0.9152 0.3944
Zn 0.4707 0.4707 0.2752
Zn 0.5293 0.5293 0.7248
Zn 0.5691 0.0848 0.6056
Zn 0.6061 0.0895 0.0922
Zn 0.9105 0.3939 0.9078
Zn 0.9152 0.4309 0.3944
Zn 0.9864 0.9864 0.7525
Pt 0.2469 0.7531 0.5000
Pt 0.7531 0.2469 0.5000
Au 0.1679 0.1679 0.6528
Au 0.1891 0.1891 0.1490
Au 0.5000 0.5000 0.0000
Au 0.8109 0.8109 0.8510
Au 0.8321 0.8321 0.3472

Top 6 peaks for 10° ≤ 2θ ≤ 90°, low angle first:
Position (°2θ)	I/Imax
25.3	93
26.1	100
39.6	64
40.3	53
41.7	67
46.4	39

Entry 2:
Simulated powder diffraction line list of La7Pr2Er4 for Cu Kα, 1.54184 Å, from the PBE geometry in Alexandria.

Structural model:
a b c (Å): 6.3061 6.3061 13.1567
angles (deg): 90.00 90.00 120.00
Fractional coordinates of all 13 atoms:
La 0.0000 0.0000 0.0000
La 0.0000 0.3834 0.2325
La 0.0000 0.6166 0.7675
La 0.3834 0.0000 0.2325
La 0.3834 0.3834 0.7675
La 0.6166 0.0000 0.7675
La 0.6166 0.6166 0.2325
Pr 0.3333 0.6667 0.0000
Pr 0.6667 0.3333 0.0000
Er 0.0000 0.0000 0.3905
Er 0.0000 0.0000 0.6095
Er 0.3333 0.6667 0.5000
Er 0.6667 0.3333 0.5000

Top 6 peaks for 10° ≤ 2θ ≤ 90°, low angle first:
Position (°2θ)	I/Imax
27.1	24
29.1	38
31.5	100
31.8	24
35.1	26
50.1	27

Entry 3:
Simulated powder diffraction line list of Zn3Sb2 for Cu Kα, 1.54184 Å, from the PBE geometry in Alexandria.

Structural model:
a b c (Å): 6.8637 6.8637 6.8637
angles (deg): 59.74 59.74 59.74
Fractional coordinates of all 10 atoms:
Zn 0.0169 0.2500 0.4831
Zn 0.2500 0.4831 0.0169
Zn 0.4831 0.0169 0.2500
Zn 0.5169 0.9831 0.7500
Zn 0.7500 0.5169 0.9831
Zn 0.9831 0.7500 0.5169
Sb 0.1029 0.1029 0.1029
Sb 0.3971 0.3971 0.3971
Sb 0.6029 0.6029 0.6029
Sb 0.8971 0.8971 0.8971

Top 6 peaks for 10° ≤ 2θ ≤ 90°, low angle first:
Position (°2θ)	I/Imax
26.1	68
30.6	42
31.9	60
37.1	58
45.9	100
73.2	38

Entry 4:
Simulated powder diffraction line list of Ti3AuO for Cu Kα, 1.54184 Å, from the PBE geometry in Alexandria.

Structural model:
a b c (Å): 5.2729 5.7225 5.9214
angles (deg): 61.51 70.42 89.71
Fractional coordinates of all 10 atoms:
Ti 0.0000 0.0000 0.0000
Ti 0.0030 0.4924 0.9918
Ti 0.0742 0.4912 0.4931
Ti 0.5146 0.2244 0.0344
Ti 0.5532 0.7276 0.5082
Ti 0.5596 0.2454 0.5022
Au 0.0456 0.9870 0.5084
Au 0.4936 0.7510 0.9824
O 0.2842 0.3573 0.7631
O 0.8346 0.6002 0.2832

Top 6 peaks for 10° ≤ 2θ ≤ 90°, low angle first:
Position (°2θ)	I/Imax
31.2	45
36.8	50
37.3	52
37.6	100
44.1	39
44.6	40

Entry 5:
Simulated powder diffraction line list of KMnRh for Cu Kα, 1.54184 Å, from the PBE geometry in Alexandria.

Structural model:
a b c (Å): 3.3583 3.3583 12.4591
angles (deg): 90.00 90.00 90.00
Fractional coordinates of all 6 atoms:
K 0.0000 0.0000 0.0000
K 0.5000 0.5000 0.5000
Mn 0.0000 0.0000 0.7266
Mn 0.5000 0.5000 0.2266
Rh 0.0000 0.0000 0.2914
Rh 0.5000 0.5000 0.7914

Top 6 peaks for 10° ≤ 2θ ≤ 90°, low angle first:
Position (°2θ)	I/Imax
14.2	100
28.7	36
34.3	75
37.9	58
40.7	29
48.2	32

Entry 6:
Simulated powder diffraction line list of SrP2PdO6 for Cu Kα, 1.54184 Å, from the PBE geometry in Alexandria.

Structural model:
a b c (Å): 5.4635 5.4635 5.4635
angles (deg): 72.30 72.30 72.30
Fractional coordinates of all 10 atoms:
Sr 0.0000 0.0000 0.0000
P 0.2875 0.2875 0.2875
P 0.7125 0.7125 0.7125
Pd 0.5000 0.5000 0.5000
O 0.0518 0.2290 0.5094
O 0.2290 0.5094 0.0518
O 0.4906 0.9482 0.7710
O 0.5094 0.0518 0.2290
O 0.7710 0.4906 0.9482
O 0.9482 0.7710 0.4906

Top 6 peaks for 10° ≤ 2θ ≤ 90°, low angle first:
Position (°2θ)	I/Imax
21.7	30
27.7	100
33.9	80
35.5	27
45.6	30
49.0	24

Entry 7:
Simulated powder diffraction line list of Mg5Si9 for Cu Kα, 1.54184 Å, from the PBE geometry in Alexandria.

Structural model:
a b c (Å): 7.0060 7.0902 12.5938
angles (deg): 76.64 82.40 62.00
Fractional coordinates of all 28 atoms:
Mg 0.0000 0.0000 0.0000
Mg 0.0029 0.6467 0.6316
Mg 0.0849 0.8458 0.3679
Mg 0.1458 0.1346 0.7326
Mg 0.2186 0.1307 0.1594
Mg 0.4015 0.5788 0.1931
Mg 0.4288 0.7614 0.6326
Mg 0.6176 0.3324 0.7941
Mg 0.7461 0.3502 0.3770
Mg 0.8610 0.8183 0.8473
Si 0.0346 0.0354 0.5445
Si 0.1066 0.4678 0.3079
Si 0.2494 0.4266 0.9715
Si 0.2902 0.1074 0.4151
Si 0.3137 0.7118 0.8557
Si 0.4436 0.3928 0.5741
Si 0.4438 0.8010 0.9934
Si 0.4987 0.8127 0.3156
Si 0.5583 0.0713 0.9862
Si 0.5745 0.0306 0.6849
Si 0.6246 0.0528 0.4890
Si 0.6892 0.9365 0.1664
Si 0.7786 0.4755 0.0432
Si 0.7982 0.1873 0.1968
Si 0.8089 0.3936 0.5848
Si 0.8125 0.6679 0.4296
Si 0.9834 0.5998 0.1224
Si 0.9910 0.3946 0.8770

Top 6 peaks for 10° ≤ 2θ ≤ 90°, low angle first:
Position (°2θ)	I/Imax
27.7	41
31.4	100
35.2	66
37.3	51
40.1	48
46.1	42

Entry 8:
Simulated powder diffraction line list of V2W5 for Cu Kα, 1.54184 Å, from the PBE geometry in Alexandria.

Structural model:
a b c (Å): 9.8917 3.1373 7.0003
angles (deg): 90.00 98.01 90.00
Fractional coordinates of all 14 atoms:
V 0.0707 0.0000 0.2137
V 0.4293 0.5000 0.7863
V 0.5707 0.5000 0.2137
V 0.9293 0.0000 0.7863
W 0.0000 0.5000 0.5000
W 0.1411 0.5000 0.9308
W 0.2150 0.0000 0.6444
W 0.2850 0.5000 0.3556
W 0.3589 0.0000 0.0692
W 0.5000 0.0000 0.5000
W 0.6411 0.0000 0.9308
W 0.7150 0.5000 0.6444
W 0.7850 0.0000 0.3556
W 0.8589 0.5000 0.0692

Top 6 peaks for 10° ≤ 2θ ≤ 90°, low angle first:
Position (°2θ)	I/Imax
40.7	100
58.9	11
59.1	6
74.1	17
74.2	17
88.3	6

Entry 9:
Simulated powder diffraction line list of Ba5Bi2I for Cu Kα, 1.54184 Å, from the PBE geometry in Alexandria.

Structural model:
a b c (Å): 8.4614 8.4614 9.9186
angles (deg): 90.00 90.00 90.00
Fractional coordinates of all 16 atoms:
Ba 0.0000 0.0000 0.0000
Ba 0.2360 0.2360 0.7144
Ba 0.2360 0.7640 0.7144
Ba 0.2640 0.2640 0.2144
Ba 0.2640 0.7360 0.2144
Ba 0.5000 0.5000 0.5000
Ba 0.7360 0.2640 0.2144
Ba 0.7360 0.7360 0.2144
Ba 0.7640 0.2360 0.7144
Ba 0.7640 0.7640 0.7144
Bi 0.0000 0.5000 0.4822
Bi 0.0000 0.5000 0.9822
Bi 0.5000 0.0000 0.4822
Bi 0.5000 0.0000 0.9822
I 0.0000 0.0000 0.3745
I 0.5000 0.5000 0.8745

Top 6 peaks for 10° ≤ 2θ ≤ 90°, low angle first:
Position (°2θ)	I/Imax
23.3	10
27.7	100
29.9	48
42.7	18
47.6	16
51.7	34

Entry 10:
Simulated powder diffraction line list of Dy7Er12Hf for Cu Kα, 1.54184 Å, from the PBE geometry in Alexandria.

Structural model:
a b c (Å): 8.5643 8.5643 8.5643
angles (deg): 94.67 94.67 94.67
Fractional coordinates of all 20 atoms:
Dy 0.0000 0.0000 0.0000
Dy 0.1533 0.4179 0.4809
Dy 0.4179 0.4809 0.1533
Dy 0.4809 0.1533 0.4179
Dy 0.5192 0.8467 0.5821
Dy 0.5821 0.5192 0.8467
Dy 0.8467 0.5821 0.5191
Er 0.0180 0.0849 0.3520
Er 0.0849 0.3520 0.0180
Er 0.1857 0.7498 0.3147
Er 0.2502 0.6853 0.8143
Er 0.3147 0.1857 0.7498
Er 0.3520 0.0180 0.0849
Er 0.6480 0.9820 0.9151
Er 0.6853 0.8143 0.2502
Er 0.7498 0.3147 0.1857
Er 0.8143 0.2502 0.6853
Er 0.9151 0.6480 0.9820
Er 0.9820 0.9151 0.6480
Hf 0.5000 0.5000 0.5000

Top 6 peaks for 10° ≤ 2θ ≤ 90°, low angle first:
Position (°2θ)	I/Imax
27.5	21
30.3	64
31.0	42
32.4	100
39.8	19
42.9	19

Entry 11:
Simulated powder diffraction line list of LaTmI for Cu Kα, 1.54184 Å, from the PBE geometry in Alexandria.

Structural model:
a b c (Å): 3.7849 19.3548 5.5982
angles (deg): 90.00 90.00 90.00
Fractional coordinates of all 12 atoms:
La 0.0000 0.1305 0.2500
La 0.0000 0.8695 0.7500
La 0.5000 0.3695 0.7500
La 0.5000 0.6305 0.2500
Tm 0.0000 0.4695 0.2500
Tm 0.0000 0.5305 0.7500
Tm 0.5000 0.0305 0.7500
Tm 0.5000 0.9695 0.2500
I 0.0000 0.3090 0.2500
I 0.0000 0.6910 0.7500
I 0.5000 0.1910 0.7500
I 0.5000 0.8090 0.2500

Top 6 peaks for 10° ≤ 2θ ≤ 90°, low angle first:
Position (°2θ)	I/Imax
28.8	67
32.0	100
33.1	33
46.7	25
58.9	35
77.7	16

Entry 12:
Simulated powder diffraction line list of Ni4P3Pb4 for Cu Kα, 1.54184 Å, from the PBE geometry in Alexandria.

Structural model:
a b c (Å): 6.1416 6.1416 6.1416
angles (deg): 101.95 101.95 101.95
Fractional coordinates of all 11 atoms:
Ni 0.0000 0.0000 0.0000
Ni 0.1257 0.1257 0.6819
Ni 0.1257 0.6819 0.1257
Ni 0.6819 0.1257 0.1257
P 0.3166 0.9411 0.9411
P 0.9411 0.3166 0.9411
P 0.9411 0.9411 0.3166
Pb 0.3543 0.3543 0.3543
Pb 0.5598 0.5598 0.9456
Pb 0.5598 0.9456 0.5598
Pb 0.9456 0.5598 0.5598

Top 6 peaks for 10° ≤ 2θ ≤ 90°, low angle first:
Position (°2θ)	I/Imax
30.7	100
30.8	34
33.0	53
36.2	82
37.7	50
51.0	36

Entry 13:
Simulated powder diffraction line list of CsTePH for Cu Kα, 1.54184 Å, from the PBE geometry in Alexandria.

Structural model:
a b c (Å): 11.3545 4.1870 6.1377
angles (deg): 90.00 105.76 90.00
Fractional coordinates of all 8 atoms:
Cs 0.0000 0.0000 0.0000
Cs 0.5000 0.5000 0.0000
Te 0.2552 0.0000 0.5675
Te 0.7552 0.5000 0.5675
P 0.4411 0.0000 0.4492
P 0.9411 0.5000 0.4492
H 0.0336 0.5000 0.6634
H 0.5336 0.0000 0.6634

Top 6 peaks for 10° ≤ 2θ ≤ 90°, low angle first:
Position (°2θ)	I/Imax
18.9	100
22.7	75
25.0	62
26.1	54
28.6	94
30.3	49